Diffraction record for Th2Al3ZnAg4. The XRD peak list is calculated, not measured: it uses the GGA-PBE geometry in Alexandria and λ = 1.5418 Å (Cu Kα).
Peak positions follow from Bragg's law for the DFT cell and can differ from measured ones.

Principal peaks in the range 10 to 90 degrees two-theta, by angle:
| 2θ/deg | Rel. int. | (hkl) |
| --- | --- | --- |
| 21.77 | 26 | 1 0 1 |
| 28.53 | 19 | 1 1 0 |
| 32.43 | 67 | 1 0 3 |
| 33.26 | 100 | 1 1 2 |
| 40.79 | 50 | 2 0 0 |
| 47.57 | 27 | 1 0 5 |
| 53.05 | 33 | 2 1 3 |
| 59.05 | 17 | 2 2 0 |
| 64.42 | 22 | 2 1 5 |
| 69.48 | 23 | 3 1 2 |

Crystal structure
Cell lengths 4.4247, 4.4247, 10.5962 Å; angles 90.00, 90.00, 90.00 degrees
Sites, in units of the cell vectors:
Th: 0.0000 0.5000 0.2485
Th: 0.5000 0.0000 0.7515
Al: 0.0000 0.0000 0.0000
Al: 0.0000 0.5000 0.6352
Al: 0.5000 0.0000 0.3648
Zn: 0.5000 0.5000 0.0000
Ag: 0.0000 0.0000 0.5000
Ag: 0.0000 0.5000 0.8708
Ag: 0.5000 0.0000 0.1292
Ag: 0.5000 0.5000 0.5000